This entry pairs a crystal structure of CeSiN with its theoretical PXRD pattern. Radiation: Cu Kα, 1.54184 Å. Structure: a cell relaxed with GGA-PBE.
Peak positions follow from Bragg's law for the DFT cell and can differ from measured ones.

Crystal structure
Lattice parameters (Å, degrees): 4.1002 3.9734 7.0722 90.00 106.83 90.00
Space group P2_1/m (No. 11)
Asymmetric unit:
1 Ce 0.1697 0.2500 0.3395 (multiplicity 2)
2 Si 0.4534 0.2500 0.9105 (multiplicity 2)
3 N 0.2502 0.7500 0.5004 (multiplicity 2)

The 10 most intense peaks (5° ≤ 2θ ≤ 70°), by angle:
13.1 deg, rel. 54.3
26.0 deg, rel. 56.9
29.4 deg, rel. 100.0
32.1 deg, rel. 85.5
34.8 deg, rel. 58.6
39.9 deg, rel. 23.2
46.2 deg, rel. 26.6
55.3 deg, rel. 33.5
57.4 deg, rel. 27.3
57.6 deg, rel. 32.5

=====

This entry pairs a crystal structure of Ce2Sm4N with its theoretical PXRD pattern. Radiation: Cu Kα, 1.54184 Å. Structure: a cell relaxed with GGA-PBE.
Peak positions follow from Bragg's law for the DFT cell and can differ from measured ones.

Crystal structure
Lattice parameters (Å, degrees): 4.8852 4.8852 17.4943 90.00 90.00 90.00
Space group I4/mmm (No. 139)
Asymmetric unit:
1 Ce 0.0000 0.0000 0.1784 (multiplicity 4)
2 Sm 0.0000 0.0000 0.3624 (multiplicity 4)
3 Sm 0.0000 0.5000 0.0000 (multiplicity 4)
4 N 0.0000 0.0000 0.5000 (multiplicity 2)

The 10 most intense peaks (5° ≤ 2θ ≤ 70°), by angle:
25.8 deg, rel. 20.4
27.8 deg, rel. 100.0
30.7 deg, rel. 37.4
31.4 deg, rel. 28.4
33.0 deg, rel. 99.7
36.8 deg, rel. 73.8
48.6 deg, rel. 41.3
53.0 deg, rel. 25.7
60.9 deg, rel. 22.3
63.9 deg, rel. 31.0

=====

This entry pairs a crystal structure of Ce5Sm3N8 with its theoretical PXRD pattern. Radiation: Cu Kα, 1.54184 Å. Structure: a cell relaxed with GGA-PBE.
Peak positions follow from Bragg's law for the DFT cell and can differ from measured ones.

Crystal structure
Lattice parameters (Å, degrees): 7.1483 7.1483 17.5059 90.00 90.00 120.00
Space group R-3m (No. 166, hexagonal axes)
Asymmetric unit:
1 Ce 0.0000 0.0000 0.0000 (multiplicity 3)
2 Ce 0.0000 0.0000 0.5000 (multiplicity 3)
3 Ce 0.0000 0.5000 0.0000 (multiplicity 9)
4 Sm 0.0000 0.5000 0.5000 (multiplicity 9)
5 N 0.0000 0.0000 0.2536 (multiplicity 6)
6 N 0.0037 0.5018 0.2519 (multiplicity 18)

The 5 most intense peaks (5° ≤ 2θ ≤ 70°), by angle:
30.6 deg, rel. 100.0
35.5 deg, rel. 74.6
51.1 deg, rel. 51.4
60.8 deg, rel. 45.2
63.8 deg, rel. 17.3

=====

This entry pairs a crystal structure of Ce2Sm4Sn3N2 with its theoretical PXRD pattern. Radiation: Cu Kα, 1.54184 Å. Structure: a cell relaxed with GGA-PBE.
Peak positions follow from Bragg's law for the DFT cell and can differ from measured ones.

Crystal structure
Lattice parameters (Å, degrees): 4.8414 4.8414 25.5378 90.00 90.00 90.00
Space group I4/mmm (No. 139)
Asymmetric unit:
1 Ce 0.0000 0.0000 0.1917 (multiplicity 4)
2 Sm 0.0000 0.5000 0.0834 (multiplicity 8)
3 Sn 0.0000 0.0000 0.3233 (multiplicity 4)
4 Sn 0.0000 0.0000 0.5000 (multiplicity 2)
5 N 0.0000 0.0000 0.1055 (multiplicity 4)

The 10 most intense peaks (5° ≤ 2θ ≤ 70°), by angle:
27.0 deg, rel. 41.0
28.0 deg, rel. 14.0
29.6 deg, rel. 15.2
33.6 deg, rel. 100.0
37.1 deg, rel. 51.6
47.1 deg, rel. 13.6
52.1 deg, rel. 12.4
53.5 deg, rel. 18.0
57.7 deg, rel. 12.0
64.7 deg, rel. 30.9